Record 1
This entry pairs a crystal structure of LiGaI4 with its simulated powder diffraction line list. Radiation: Cu Ka. Structure: a structure optimized by DFT (PBE).
Neutral-atom scattering factors, no anomalous dispersion.

Largest 10 diffraction maxima, in order of rising 2θ, 10° ≤ 2θ ≤ 90°:
d [Å], 2theta, intensity, hkl
3.873, 22.96, 42.1, 0 2 0
3.827, 23.24, 59.0, 1 1 -3
3.532, 25.22, 80.8, 2 0 2
3.409, 26.14, 100.0, 0 1 4
3.396, 26.24, 85.8, 1 2 1
3.322, 26.84, 93.6, 2 1 -2
2.227, 40.50, 60.8, 1 3 -3
2.033, 44.56, 38.7, 2 1 6
1.899, 47.90, 35.9, 0 0 8
1.868, 48.74, 38.6, 3 3 -1

abc: 8.1931 7.7467 15.2052
angles: 90.00 92.77 90.00
Space group P2_1/c (No. 14)
One atom of each set of equivalent atoms:
Li (0.1541, 0.0059, 0.3802) x4
Ga (0.2938, 0.1744, 0.5990) x4
I (0.0638, 0.1806, 0.1866) x4
I (0.1861, 0.6388, 0.0683) x4
I (0.3085, 0.1818, 0.9467) x4
I (0.4339, 0.6854, 0.8092) x4

***

Record 2
This entry pairs a crystal structure of K6Pd3Br4Cl8 with its simulated powder diffraction line list. Radiation: Cu Ka. Structure: a structure optimized by DFT (PBE).
Neutral-atom scattering factors, no anomalous dispersion.

Largest 10 diffraction maxima, in order of rising 2θ, 10° ≤ 2θ ≤ 90°:
d [Å], 2theta, intensity, hkl
7.300, 12.12, 100.0, 0 3 1
4.274, 20.79, 46.8, 1 0 0
3.688, 24.13, 41.3, 1 3 1
3.307, 26.96, 64.4, 1 6 0
2.776, 32.25, 33.0, 1 6 2
2.612, 34.33, 39.6, 0 12 0
2.550, 35.19, 32.5, 0 0 4
2.137, 42.30, 19.3, 2 0 0
2.020, 44.87, 26.6, 1 6 4
1.825, 49.97, 20.5, 0 12 4

abc: 4.2735 31.3535 10.2017
angles: 90.00 90.00 90.00
Space group Amm2 (No. 38)
One atom of each set of equivalent atoms:
K (0.0000, 0.0833, 0.9998) x4
K (0.0000, 0.0861, 0.4996) x4
K (0.0000, 0.2468, 0.5000) x4
Pd (0.5000, 0.0000, 0.7490) x2
Pd (0.5000, 0.1669, 0.2519) x4
Br (0.5000, 0.0000, 0.5065) x2
Br (0.5000, 0.0000, 0.9924) x2
Br (0.5000, 0.1672, 0.0097) x4
Cl (0.5000, 0.0746, 0.7489) x4
Cl (0.5000, 0.0925, 0.2517) x4
Cl (0.5000, 0.1668, 0.4826) x4
Cl (0.5000, 0.2415, 0.2514) x4

***

Record 3
This entry pairs a crystal structure of MgTe2Mo2W2Se4S2 with its simulated powder diffraction line list. Radiation: Cu Ka. Structure: a structure optimized by DFT (PBE).
Neutral-atom scattering factors, no anomalous dispersion.

Largest 10 diffraction maxima, in order of rising 2θ, 10° ≤ 2θ ≤ 90°:
d [Å], 2theta, intensity, hkl
7.611, 11.63, 100.0, 0 0 5
6.343, 13.96, 16.7, 0 0 6
2.890, 30.94, 42.6, 1 1 0
2.703, 33.14, 14.3, 1 1 -5
2.471, 36.36, 77.3, 1 1 8
2.302, 39.13, 11.7, 1 1 -10
2.057, 44.02, 43.8, 1 0 13
1.981, 45.82, 13.5, 1 1 -14
1.669, 55.01, 24.4, 1 2 0
1.383, 67.74, 12.3, 2 0 8

abc: 3.3389 3.3389 38.0552
angles: 90.00 90.00 60.00
Space group P1 (No. 1)
One atom of each set of equivalent atoms:
Mg (0.0000, 0.0000, 0.0000) x1
Te (0.6004, 0.6694, 0.7245) x1
Te (0.6004, 0.6694, 0.8242) x1
Mo (0.9338, 0.0027, 0.3986) x1
Mo (0.9338, 0.0027, 0.7744) x1
W (0.6004, 0.6693, 0.2107) x1
W (0.6004, 0.6694, 0.5865) x1
Se (0.6004, 0.6694, 0.3548) x1
Se (0.6004, 0.6694, 0.4425) x1
Se (0.9337, 0.0027, 0.1667) x1
Se (0.9337, 0.0027, 0.2548) x1
S (0.9337, 0.0027, 0.5464) x1
S (0.9337, 0.0027, 0.6265) x1

***

Record 4
This entry pairs a crystal structure of Li5SbS4 with its simulated powder diffraction line list. Radiation: Cu Ka. Structure: a structure optimized by DFT (PBE).
Neutral-atom scattering factors, no anomalous dispersion.

Largest 10 diffraction maxima, in order of rising 2θ, 10° ≤ 2θ ≤ 90°:
d [Å], 2theta, intensity, hkl
5.943, 14.91, 100.0, 1 1 0
4.818, 18.41, 78.9, 0 1 1
4.645, 19.11, 33.6, 0 2 0
4.554, 19.49, 61.9, 1 0 1
3.252, 27.42, 39.5, 1 2 1
3.188, 27.99, 71.0, 2 0 1
3.016, 29.62, 38.0, 2 1 1
2.875, 31.11, 38.1, 1 3 0
2.714, 33.00, 28.7, 0 3 1
2.045, 44.30, 49.5, 2 2 2

abc: 7.7328 9.2906 5.6357
angles: 90.00 90.00 90.00
Space group Pmmn (No. 59, origin choice 2)
One atom of each set of equivalent atoms:
Li (0.0184, 0.0480, 0.2421) x8
Li (0.2500, 0.7500, 0.2204) x2
Sb (0.2500, 0.2500, 0.8228) x2
S (0.0099, 0.2500, 0.5304) x4
S (0.2500, 0.5336, 0.9755) x4

***

Record 5
This entry pairs a crystal structure of MgSn3P4O14 with its simulated powder diffraction line list. Radiation: Cu Ka. Structure: a structure optimized by DFT (PBE).
Neutral-atom scattering factors, no anomalous dispersion.

Largest 10 diffraction maxima, in order of rising 2θ, 10° ≤ 2θ ≤ 90°:
d [Å], 2theta, intensity, hkl
4.912, 18.06, 57.9, 0 0 2
3.719, 23.93, 33.9, 1 0 2
3.567, 24.96, 29.8, 2 1 -1
3.365, 26.49, 39.8, 1 1 2
3.237, 27.55, 41.7, 2 1 -2
3.191, 27.96, 58.5, 1 2 1
3.056, 29.23, 45.3, 2 1 1
2.742, 32.65, 31.9, 2 1 -3
2.545, 35.27, 100.0, 0 3 1
2.264, 39.81, 38.1, 1 2 3

abc: 8.0609 7.8993 10.2086
angles: 90.00 105.76 90.00
Space group P2_1/c (No. 14)
One atom of each set of equivalent atoms:
Mg (0.0000, 0.0000, 0.0000) x2
Sn (0.3035, 0.1406, 0.4806) x4
Sn (0.5000, 0.0000, 0.0000) x2
P (0.0587, 0.0586, 0.7003) x4
P (0.3128, 0.7043, 0.1716) x4
O (0.1080, 0.0652, 0.8562) x4
O (0.1246, 0.6217, 0.1581) x4
O (0.1356, 0.5508, 0.8623) x4
O (0.1480, 0.1981, 0.6378) x4
O (0.2636, 0.6266, 0.5958) x4
O (0.4085, 0.5803, 0.0973) x4
O (0.4136, 0.7135, 0.3202) x4

***

Record 6
This entry pairs a crystal structure of MgBi2Sb2O8 with its simulated powder diffraction line list. Radiation: Cu Ka. Structure: a structure optimized by DFT (PBE).
Neutral-atom scattering factors, no anomalous dispersion.

Largest 10 diffraction maxima, in order of rising 2θ, 10° ≤ 2θ ≤ 90°:
d [Å], 2theta, intensity, hkl
4.925, 18.01, 30.7, 0 1 -1
3.678, 24.20, 96.9, -1 1 1
3.608, 24.67, 100.0, 1 1 0
3.199, 27.89, 55.3, 1 -1 1
3.047, 29.31, 49.6, 1 1 -2
3.031, 29.47, 54.0, 0 0 2
3.010, 29.68, 53.5, 0 2 -1
2.701, 33.17, 45.3, 2 0 -1
2.642, 33.93, 39.7, -1 1 2
2.050, 44.19, 29.4, -2 2 1

abc: 5.4099 6.2206 6.7264
angles: 102.25 111.39 92.68
Space group P1 (No. 1)
One atom of each set of equivalent atoms:
Mg (0.0000, 0.0000, 0.0000) x1
Bi (0.3241, 0.0570, 0.7199) x1
Bi (0.9201, 0.4901, 0.8663) x1
Sb (0.1473, 0.3834, 0.3652) x1
Sb (0.6236, 0.8324, 0.3320) x1
O (0.1638, 0.3759, 0.6689) x1
O (0.1955, 0.3033, 0.0672) x1
O (0.2169, 0.7652, 0.0126) x1
O (0.3996, 0.1386, 0.4446) x1
O (0.4395, 0.6505, 0.5028) x1
O (0.8510, 0.1187, 0.2168) x1
O (0.8816, 0.5831, 0.2428) x1
O (0.9077, 0.9525, 0.6645) x1